Record 1
For Mg8Te, a DFT-relaxed cell (PBE, Alexandria) gives the calculated PXRD pattern in this record (Cu Kα, 1.54184 Å).
Lines closer than 0.1° are merged.

Structure:
```
data_Mg8Te
_cell_length_a 10.015
_cell_length_b 10.015
_cell_length_c 4.255
_cell_angle_alpha 90.00
_cell_angle_beta 90.00
_cell_angle_gamma 90.00
_space_group_name_H-M_alt 'I 4/m m m'
_space_group_IT_number 139
_space_group_name_Hall '-I 4 2'
loop_
_atom_site_label
_atom_site_type_symbol
_atom_site_fract_x
_atom_site_fract_y
_atom_site_fract_z
Mg1 Mg 0.000 0.340 0.000
Mg2 Mg 0.170 0.170 0.500
Te1 Te 0.000 0.000 0.000
```

Main lines, by angle (2θ from 5° to 70°):
12.50°, d = 7.082 Å, I 42, (1 1 0); 22.71°, d = 3.916 Å, I 25, (1 0 1); 28.94°, d = 3.085 Å, I 29, (2 1 1); 34.14°, d = 2.626 Å, I 100, (3 0 1); 38.12°, d = 2.361 Å, I 37, (3 3 0); 66.36°, d = 1.409 Å, I 27, (6 3 1)

=====

Record 2
For MgTe2, a DFT-relaxed cell (PBE, Alexandria) gives the calculated PXRD pattern in this record (Cu Kα, 1.54184 Å).
Lines closer than 0.1° are merged.

Structure:
```
data_MgTe2
_cell_length_a 7.108
_cell_length_b 7.108
_cell_length_c 7.108
_cell_angle_alpha 90.00
_cell_angle_beta 90.00
_cell_angle_gamma 90.00
_space_group_name_H-M_alt 'P a -3'
_space_group_IT_number 205
_space_group_name_Hall '-P 2ac 2ab 3'
loop_
_atom_site_label
_atom_site_type_symbol
_atom_site_fract_x
_atom_site_fract_y
_atom_site_fract_z
Mg1 Mg 0.000 0.000 0.000
Te1 Te 0.113 0.613 0.887
```

Main lines, by angle (2θ from 5° to 70°):
21.65°, d = 4.104 Å, I 33, (1 1 1); 28.07°, d = 3.179 Å, I 100, (2 1 0); 30.81°, d = 2.902 Å, I 90, (2 1 1); 42.16°, d = 2.143 Å, I 27, (3 1 1); 46.04°, d = 1.972 Å, I 43, (3 0 2); 47.88°, d = 1.900 Å, I 57, (3 2 1)

=====

Record 3
For MgTe4, a DFT-relaxed cell (PBE, Alexandria) gives the calculated PXRD pattern in this record (Cu Kα, 1.54184 Å).
Lines closer than 0.1° are merged.

Structure:
```
data_MgTe4
_cell_length_a 9.571
_cell_length_b 5.244
_cell_length_c 7.271
_cell_angle_alpha 90.00
_cell_angle_beta 117.20
_cell_angle_gamma 90.00
_space_group_name_H-M_alt 'C 1 2/m 1'
_space_group_IT_number 12
loop_
_space_group_symop_operation_xyz
'x,y,z'
'-x,-y,-z'
'-x,y,-z'
'x,-y,z'
'x+1/2,y+1/2,z'
'-x+1/2,-y+1/2,-z'
'-x+1/2,y+1/2,-z'
'x+1/2,-y+1/2,z'
loop_
_atom_site_label
_atom_site_type_symbol
_atom_site_fract_x
_atom_site_fract_y
_atom_site_fract_z
Mg1 Mg 0.000 0.000 0.000
Te1 Te 0.129 0.000 0.454
Te2 Te 0.175 0.500 0.903
```

Main lines, by angle (2θ from 5° to 70°):
25.89°, d = 3.442 Å, I 42, (2 0 -2); 26.85°, d = 3.321 Å, I 100, (1 1 1); 27.59°, d = 3.234 Å, I 29, (0 0 2); 32.86°, d = 2.725 Å, I 66, (3 1 -1); 34.19°, d = 2.622 Å, I 43, (0 2 0); 56.89°, d = 1.619 Å, I 31, (4 2 -3)

=====

Record 4
For Mg3Te, a DFT-relaxed cell (PBE, Alexandria) gives the calculated PXRD pattern in this record (Cu Kα, 1.54184 Å).
Lines closer than 0.1° are merged.

Structure:
```
data_Mg3Te
_cell_length_a 5.217
_cell_length_b 6.264
_cell_length_c 6.144
_cell_angle_alpha 90.00
_cell_angle_beta 90.00
_cell_angle_gamma 90.00
_space_group_name_H-M_alt 'P m m n'
_space_group_IT_number 59
loop_
_space_group_symop_operation_xyz
'x,y,z'
'-x,-y,-z'
'-x+1/2,-y+1/2,z'
'x+1/2,y+1/2,-z'
'x+1/2,-y,-z'
'-x+1/2,y,z'
'-x,y+1/2,-z'
'x,-y+1/2,z'
loop_
_atom_site_label
_atom_site_type_symbol
_atom_site_fract_x
_atom_site_fract_y
_atom_site_fract_z
Mg1 Mg 0.250 0.001 0.132
Mg2 Mg 0.250 0.250 0.685
Te1 Te 0.250 0.750 0.561
```

Main lines, by angle (2θ from 5° to 70°):
14.42°, d = 6.144 Å, I 76, (0 0 1); 22.18°, d = 4.009 Å, I 67, (1 1 0); 26.55°, d = 3.357 Å, I 100, (1 1 1); 32.08°, d = 2.790 Å, I 71, (0 2 1); 33.86°, d = 2.647 Å, I 59, (1 0 2); 47.73°, d = 1.906 Å, I 51, (2 2 1)

=====

Record 5
For Mg4Te3, a DFT-relaxed cell (PBE, Alexandria) gives the calculated PXRD pattern in this record (Cu Kα, 1.54184 Å).
Lines closer than 0.1° are merged.

Structure:
```
data_Mg4Te3
_cell_length_a 5.890
_cell_length_b 5.890
_cell_length_c 5.890
_cell_angle_alpha 90.00
_cell_angle_beta 90.00
_cell_angle_gamma 90.00
_space_group_name_H-M_alt 'P m -3 m'
_space_group_IT_number 221
_space_group_name_Hall '-P 4 2 3'
loop_
_atom_site_label
_atom_site_type_symbol
_atom_site_fract_x
_atom_site_fract_y
_atom_site_fract_z
Mg1 Mg 0.000 0.000 0.000
Mg2 Mg 0.000 0.500 0.500
Te1 Te 0.000 0.000 0.500
```

Main lines, by angle (2θ from 5° to 70°):
15.04°, d = 5.890 Å, I 37, (1 0 0); 21.33°, d = 4.165 Å, I 33, (1 1 0); 26.20°, d = 3.401 Å, I 61, (1 1 1); 30.35°, d = 2.945 Å, I 100, (2 0 0); 43.45°, d = 2.083 Å, I 74, (2 2 0); 51.45°, d = 1.776 Å, I 29, (3 1 1)

=====

Record 6
For Mg5Te, a DFT-relaxed cell (PBE, Alexandria) gives the calculated PXRD pattern in this record (Cu Kα, 1.54184 Å).
Lines closer than 0.1° are merged.

Structure:
```
data_Mg5Te
_cell_length_a 5.5699
_cell_length_b 5.5699
_cell_length_c 15.9392
_cell_angle_alpha 90.00
_cell_angle_beta 90.00
_cell_angle_gamma 120.00
_space_group_name_H-M_alt 'R 3 2'
_space_group_IT_number 155
_space_group_name_Hall 'R 3 2"'
loop_
_atom_site_label
_atom_site_type_symbol
_atom_site_fract_x
_atom_site_fract_y
_atom_site_fract_z
Mg1 Mg 0.0000 0.0000 0.1713
Mg2 Mg 0.0000 0.3301 0.0000
Te1 Te 0.0000 0.0000 0.5000
```

Main lines, by angle (2θ from 5° to 70°):
19.22°, d = 4.617 Å, I 48, (1 0 1); 21.53°, d = 4.127 Å, I 35, (0 1 2); 32.14°, d = 2.785 Å, I 33, (1 1 0); 33.73°, d = 2.657 Å, I 36, (0 0 6); 36.42°, d = 2.467 Å, I 100, (1 1 3); 47.28°, d = 1.922 Å, I 26, (1 1 6)

=====

Record 7
For Mg4TlTe, a DFT-relaxed cell (PBE, Alexandria) gives the calculated PXRD pattern in this record (Cu Kα, 1.54184 Å).
Lines closer than 0.1° are merged.

Structure:
```
data_Mg4TlTe
_cell_length_a 8.458
_cell_length_b 8.458
_cell_length_c 8.458
_cell_angle_alpha 90.00
_cell_angle_beta 90.00
_cell_angle_gamma 90.00
_space_group_name_H-M_alt 'F -4 3 m'
_space_group_IT_number 216
_space_group_name_Hall 'F -4 2 3'
loop_
_atom_site_label
_atom_site_type_symbol
_atom_site_fract_x
_atom_site_fract_y
_atom_site_fract_z
Mg1 Mg 0.125 0.125 0.125
Tl1 Tl 0.000 0.000 0.500
Te1 Te 0.250 0.250 0.750
```

Main lines, by angle (2θ from 5° to 70°):
18.17°, d = 4.883 Å, I 70, (1 1 1); 29.88°, d = 2.990 Å, I 99, (2 2 0); 35.19°, d = 2.550 Å, I 100, (3 1 1); 53.04°, d = 1.726 Å, I 40, (4 2 2); 56.54°, d = 1.628 Å, I 34, (3 3 3); 62.08°, d = 1.495 Å, I 21, (4 4 0)

=====

Record 8
For MgTl2Te, a DFT-relaxed cell (PBE, Alexandria) gives the calculated PXRD pattern in this record (Cu Kα, 1.54184 Å).
Lines closer than 0.1° are merged.

Structure:
```
data_MgTl2Te
_cell_length_a 4.369
_cell_length_b 4.280
_cell_length_c 6.993
_cell_angle_alpha 90.00
_cell_angle_beta 107.80
_cell_angle_gamma 90.00
_space_group_name_H-M_alt 'P 1 m 1'
_space_group_IT_number 6
loop_
_space_group_symop_operation_xyz
'x,y,z'
'x,-y,z'
loop_
_atom_site_label
_atom_site_type_symbol
_atom_site_fract_x
_atom_site_fract_y
_atom_site_fract_z
Mg1 Mg 0.000 0.000 0.000
Tl1 Tl 0.240 0.000 0.492
Tl2 Tl 0.581 0.500 0.165
Te1 Te 0.850 0.500 0.718
```

Main lines, by angle (2θ from 5° to 70°):
24.73°, d = 3.600 Å, I 30, (0 1 1); 28.57°, d = 3.125 Å, I 35, (1 0 1); 28.77°, d = 3.103 Å, I 36, (1 0 -2); 29.98°, d = 2.980 Å, I 100, (1 1 0); 34.12°, d = 2.628 Å, I 52, (0 1 2); 41.33°, d = 2.185 Å, I 19, (2 0 -1)

=====

Record 9
For Mg2ZnTe, a DFT-relaxed cell (PBE, Alexandria) gives the calculated PXRD pattern in this record (Cu Kα, 1.54184 Å).
Lines closer than 0.1° are merged.

Structure:
```
data_Mg2ZnTe
_cell_length_a 3.866
_cell_length_b 4.060
_cell_length_c 12.181
_cell_angle_alpha 90.00
_cell_angle_beta 90.00
_cell_angle_gamma 90.00
_space_group_name_H-M_alt 'I m m 2'
_space_group_IT_number 44
loop_
_space_group_symop_operation_xyz
'x,y,z'
'-x,-y,z'
'-x,y,z'
'x,-y,z'
'x+1/2,y+1/2,z+1/2'
'-x+1/2,-y+1/2,z+1/2'
'-x+1/2,y+1/2,z+1/2'
'x+1/2,-y+1/2,z+1/2'
loop_
_atom_site_label
_atom_site_type_symbol
_atom_site_fract_x
_atom_site_fract_y
_atom_site_fract_z
Mg1 Mg 0.000 0.000 0.000
Mg2 Mg 0.000 0.500 0.274
Zn1 Zn 0.000 0.000 0.445
Te1 Te 0.000 0.500 0.689
```

Main lines, by angle (2θ from 5° to 70°):
23.09°, d = 3.852 Å, I 36, (0 1 1); 24.16°, d = 3.684 Å, I 31, (1 0 1); 29.33°, d = 3.045 Å, I 28, (0 0 4); 31.15°, d = 2.871 Å, I 25, (0 1 3); 31.97°, d = 2.800 Å, I 29, (1 0 3); 35.28°, d = 2.544 Å, I 100, (1 1 2)

=====

Record 10
For MgZnTe2, a DFT-relaxed cell (PBE, Alexandria) gives the calculated PXRD pattern in this record (Cu Kα, 1.54184 Å).
Lines closer than 0.1° are merged.

Structure:
```
data_MgZnTe2
_cell_length_a 4.471
_cell_length_b 4.471
_cell_length_c 6.395
_cell_angle_alpha 90.00
_cell_angle_beta 90.00
_cell_angle_gamma 90.00
_space_group_name_H-M_alt 'P -4 m 2'
_space_group_IT_number 115
loop_
_space_group_symop_operation_xyz
'x,y,z'
'y,-x,-z'
'-x,-y,z'
'-y,x,-z'
'-x,y,z'
'-y,-x,-z'
'x,-y,z'
'y,x,-z'
loop_
_atom_site_label
_atom_site_type_symbol
_atom_site_fract_x
_atom_site_fract_y
_atom_site_fract_z
Mg1 Mg 0.000 0.000 0.000
Zn1 Zn 0.500 0.500 0.500
Te1 Te 0.000 0.500 0.736
```

Main lines, by angle (2θ from 5° to 70°):
24.29°, d = 3.664 Å, I 100, (1 0 1); 40.11°, d = 2.248 Å, I 44, (1 1 2); 40.34°, d = 2.236 Å, I 22, (2 0 0); 47.24°, d = 1.924 Å, I 16, (1 0 3); 47.65°, d = 1.909 Å, I 32, (2 1 1); 63.82°, d = 1.458 Å, I 12, (2 1 3)

=====

Record 11
For MgZnTe2, a DFT-relaxed cell (PBE, Alexandria) gives the calculated PXRD pattern in this record (Cu Kα, 1.54184 Å).
Lines closer than 0.1° are merged.

Structure:
```
data_MgZnTe2
_cell_length_a 6.286
_cell_length_b 13.345
_cell_length_c 6.452
_cell_angle_alpha 90.00
_cell_angle_beta 90.00
_cell_angle_gamma 90.00
_space_group_name_H-M_alt 'I b a m'
_space_group_IT_number 72
_space_group_name_Hall '-I 2 2c'
loop_
_atom_site_label
_atom_site_type_symbol
_atom_site_fract_x
_atom_site_fract_y
_atom_site_fract_z
Mg1 Mg 0.000 0.000 0.250
Zn1 Zn 0.000 0.500 0.250
Te1 Te 0.235 0.377 0.000
```

Main lines, by angle (2θ from 5° to 70°):
13.27°, d = 6.672 Å, I 17, (0 2 0); 23.84°, d = 3.732 Å, I 100, (1 2 1); 38.83°, d = 2.319 Å, I 27, (0 4 2); 39.39°, d = 2.288 Å, I 25, (2 4 0); 40.05°, d = 2.251 Å, I 24, (2 0 2); 45.49°, d = 1.994 Å, I 17, (1 6 1)

=====

Record 12
For MgZrTe2, a DFT-relaxed cell (PBE, Alexandria) gives the calculated PXRD pattern in this record (Cu Kα, 1.54184 Å).
Lines closer than 0.1° are merged.

Structure:
```
data_MgZrTe2
_cell_length_a 3.877
_cell_length_b 3.896
_cell_length_c 13.684
_cell_angle_alpha 90.00
_cell_angle_beta 90.00
_cell_angle_gamma 90.00
_space_group_name_H-M_alt 'I m m 2'
_space_group_IT_number 44
loop_
_space_group_symop_operation_xyz
'x,y,z'
'-x,-y,z'
'-x,y,z'
'x,-y,z'
'x+1/2,y+1/2,z+1/2'
'-x+1/2,-y+1/2,z+1/2'
'-x+1/2,y+1/2,z+1/2'
'x+1/2,-y+1/2,z+1/2'
loop_
_atom_site_label
_atom_site_type_symbol
_atom_site_fract_x
_atom_site_fract_y
_atom_site_fract_z
Mg1 Mg 0.000 0.000 0.000
Zr1 Zr 0.000 0.500 0.229
Te1 Te 0.000 0.000 0.570
Te2 Te 0.000 0.500 0.819
```

Main lines, by angle (2θ from 5° to 70°):
23.74°, d = 3.747 Å, I 32, (0 1 1); 26.05°, d = 3.421 Å, I 23, (0 0 4); 30.23°, d = 2.957 Å, I 60, (1 0 3); 35.19°, d = 2.550 Å, I 100, (1 1 2); 40.31°, d = 2.238 Å, I 43, (1 0 5); 52.38°, d = 1.747 Å, I 19, (0 1 7)

=====

Record 13
For ThMg11, a DFT-relaxed cell (PBE, Alexandria) gives the calculated PXRD pattern in this record (Cu Kα, 1.54184 Å).
Lines closer than 0.1° are merged.

Structure:
```
data_ThMg11
_cell_length_a 10.2198
_cell_length_b 10.2198
_cell_length_c 3.2022
_cell_angle_alpha 90.00
_cell_angle_beta 90.00
_cell_angle_gamma 120.00
_space_group_name_H-M_alt 'P 6/m m m'
_space_group_IT_number 191
_space_group_name_Hall '-P 6 2'
loop_
_atom_site_label
_atom_site_type_symbol
_atom_site_fract_x
_atom_site_fract_y
_atom_site_fract_z
Th1 Th 0.0000 0.0000 0.0000
Mg1 Mg 0.0000 0.5000 0.0000
Mg2 Mg 0.1768 0.3536 0.5000
Mg3 Mg 0.3333 0.6667 0.0000
```

Main lines, by angle (2θ from 5° to 70°):
9.99°, d = 8.851 Å, I 100, (1 0 0); 17.35°, d = 5.110 Å, I 36, (1 1 0); 26.65°, d = 3.345 Å, I 32, (2 1 0); 33.01°, d = 2.713 Å, I 35, (1 1 1); 34.57°, d = 2.594 Å, I 43, (2 0 1); 35.12°, d = 2.555 Å, I 41, (2 2 0)

=====

Record 14
For Th5Mg, a DFT-relaxed cell (PBE, Alexandria) gives the calculated PXRD pattern in this record (Cu Kα, 1.54184 Å).
Lines closer than 0.1° are merged.

Structure:
```
data_Th5Mg
_cell_length_a 3.5084
_cell_length_b 3.5084
_cell_length_c 17.6824
_cell_angle_alpha 90.00
_cell_angle_beta 90.00
_cell_angle_gamma 120.00
_space_group_name_H-M_alt 'P -6 m 2'
_space_group_IT_number 187
_space_group_name_Hall 'P -6 2'
loop_
_atom_site_label
_atom_site_type_symbol
_atom_site_fract_x
_atom_site_fract_y
_atom_site_fract_z
Th1 Th 0.0000 0.0000 0.0000
Th2 Th 0.0000 0.0000 0.3380
Th3 Th 0.3333 0.6667 0.1684
Mg1 Mg 0.3333 0.6667 0.5000
```

Main lines, by angle (2θ from 5° to 70°):
29.40°, d = 3.038 Å, I 25, (1 0 0); 30.33°, d = 2.947 Å, I 27, (0 0 6); 33.17°, d = 2.701 Å, I 100, (1 0 3); 52.14°, d = 1.754 Å, I 19, (1 1 0); 55.71°, d = 1.650 Å, I 23, (1 0 9); 61.52°, d = 1.507 Å, I 23, (1 1 6)

=====

Record 15
For ThMg4, a DFT-relaxed cell (PBE, Alexandria) gives the calculated PXRD pattern in this record (Cu Kα, 1.54184 Å).
Lines closer than 0.1° are merged.

Structure:
```
data_ThMg4
_cell_length_a 3.392
_cell_length_b 3.757
_cell_length_c 19.685
_cell_angle_alpha 90.00
_cell_angle_beta 90.00
_cell_angle_gamma 90.00
_space_group_name_H-M_alt 'I m m m'
_space_group_IT_number 71
_space_group_name_Hall '-I 2 2'
loop_
_atom_site_label
_atom_site_type_symbol
_atom_site_fract_x
_atom_site_fract_y
_atom_site_fract_z
Th1 Th 0.000 0.000 0.000
Mg1 Mg 0.000 0.000 0.204
Mg2 Mg 0.000 0.000 0.384
```

Main lines, by angle (2θ from 5° to 70°):
8.98°, d = 9.843 Å, I 100, (0 0 2); 18.02°, d = 4.921 Å, I 25, (0 0 4); 24.12°, d = 3.690 Å, I 27, (0 1 1); 32.95°, d = 2.718 Å, I 32, (0 1 5); 34.91°, d = 2.570 Å, I 28, (1 0 5); 35.66°, d = 2.518 Å, I 27, (1 1 0)